Entry 1:
Diffraction record for Ca2Cd3Ga2. The powder diffraction line list is simulated, not measured: it uses a structure optimized by DFT (GGA-PBE) and a wavelength of 1.5418 Å.
Neutral-atom scattering factors, no anomalous dispersion.

abc: 5.901 5.901 7.544
angles: 112.51 112.51 44.72
Fractional positions:
Ca  0.145  0.145  0.276
Ca  0.855  0.855  0.724
Cd  0.385  0.385  0.065
Cd  0.500  0.500  0.500
Cd  0.615  0.615  0.935
Ga  0.150  0.150  0.702
Ga  0.850  0.850  0.298

Main lines, by angle (10 to 90 degrees two-theta):
17.16 deg, I = 57
21.72 deg, I = 33
31.71 deg, I = 72
35.07 deg, I = 44
35.75 deg, I = 26
36.93 deg, I = 100
40.16 deg, I = 65
41.80 deg, I = 25



Entry 2:
Diffraction record for Ca3Cd3Ga8. The powder diffraction line list is simulated, not measured: it uses a structure optimized by DFT (GGA-PBE) and a wavelength of 1.5418 Å.
Neutral-atom scattering factors, no anomalous dispersion.

abc: 8.682 8.682 8.682
angles: 150.42 110.13 77.66
Fractional positions:
Ca  0.000  0.000  0.000
Ca  0.300  0.300  0.000
Ca  0.700  0.700  0.000
Cd  0.301  0.500  0.801
Cd  0.500  0.000  0.500
Cd  0.699  0.500  0.199
Ga  0.032  0.660  0.372
Ga  0.121  0.846  0.275
Ga  0.288  0.660  0.628
Ga  0.429  0.154  0.275
Ga  0.571  0.846  0.725
Ga  0.712  0.340  0.372
Ga  0.879  0.154  0.725
Ga  0.968  0.340  0.628

Main lines, by angle (10 to 90 degrees two-theta):
21.64 deg, I = 17
33.59 deg, I = 100
36.36 deg, I = 36
39.99 deg, I = 29
40.70 deg, I = 33
43.33 deg, I = 22
46.12 deg, I = 16
58.38 deg, I = 18



Entry 3:
Diffraction record for Ca6CdGa. The powder diffraction line list is simulated, not measured: it uses a structure optimized by DFT (GGA-PBE) and a wavelength of 1.5418 Å.
Neutral-atom scattering factors, no anomalous dispersion.

abc: 10.111 10.111 10.111
angles: 149.00 149.00 44.41
Fractional positions:
Ca  0.096  0.596  0.500
Ca  0.250  0.250  0.000
Ca  0.404  0.904  0.500
Ca  0.596  0.096  0.500
Ca  0.750  0.750  0.000
Ca  0.904  0.404  0.500
Cd  0.000  0.000  0.000
Ga  0.500  0.500  0.000

Main lines, by angle (10 to 90 degrees two-theta):
30.19 deg, I = 100
33.15 deg, I = 47
37.20 deg, I = 22
38.47 deg, I = 14
45.45 deg, I = 12
47.59 deg, I = 16
51.67 deg, I = 14
57.40 deg, I = 29



Entry 4:
Diffraction record for Ca2Cd3Ga. The powder diffraction line list is simulated, not measured: it uses a structure optimized by DFT (GGA-PBE) and a wavelength of 1.5418 Å.
Neutral-atom scattering factors, no anomalous dispersion.

abc: 9.201 9.201 9.201
angles: 156.05 149.18 39.41
Fractional positions:
Ca  0.000  0.000  0.000
Ca  0.768  0.268  0.500
Cd  0.177  0.677  0.500
Cd  0.340  0.840  0.500
Cd  0.598  0.598  0.000
Ga  0.445  0.445  0.000

Main lines, by angle (10 to 90 degrees two-theta):
18.86 deg, I = 53
23.86 deg, I = 56
31.47 deg, I = 100
31.65 deg, I = 43
34.97 deg, I = 36
36.76 deg, I = 43
40.87 deg, I = 36
43.43 deg, I = 45



Entry 5:
Diffraction record for Ca6Cd3Ga. The powder diffraction line list is simulated, not measured: it uses a structure optimized by DFT (GGA-PBE) and a wavelength of 1.5418 Å.
Neutral-atom scattering factors, no anomalous dispersion.

abc: 9.461 5.500 12.049
angles: 90.00 108.50 90.00
Fractional positions:
Ca  0.015  0.250  0.409
Ca  0.147  0.750  0.165
Ca  0.268  0.250  0.998
Ca  0.354  0.750  0.829
Ca  0.359  0.250  0.325
Ca  0.396  0.250  0.629
Ca  0.604  0.750  0.371
Ca  0.641  0.750  0.675
Ca  0.646  0.250  0.171
Ca  0.732  0.750  0.002
Ca  0.853  0.250  0.835
Ca  0.985  0.750  0.591
Cd  0.039  0.750  0.878
Cd  0.114  0.250  0.718
Cd  0.272  0.750  0.469
Cd  0.728  0.250  0.531
Cd  0.886  0.750  0.282
Cd  0.961  0.250  0.122
Ga  0.441  0.750  0.111
Ga  0.559  0.250  0.889

Main lines, by angle (10 to 90 degrees two-theta):
22.44 deg, I = 26
23.49 deg, I = 11
31.34 deg, I = 22
32.62 deg, I = 100
32.78 deg, I = 53
35.43 deg, I = 11
45.82 deg, I = 15
58.19 deg, I = 21



Entry 6:
Diffraction record for CaCd2Ga. The powder diffraction line list is simulated, not measured: it uses a structure optimized by DFT (GGA-PBE) and a wavelength of 1.5418 Å.
Neutral-atom scattering factors, no anomalous dispersion.

abc: 4.274 4.274 10.672
angles: 90.00 90.00 90.00
Fractional positions:
Ca  0.250  0.250  0.242
Ca  0.750  0.750  0.758
Cd  0.250  0.250  0.939
Cd  0.250  0.750  0.500
Cd  0.750  0.250  0.500
Cd  0.750  0.750  0.061
Ga  0.250  0.250  0.673
Ga  0.750  0.750  0.327

Main lines, by angle (10 to 90 degrees two-theta):
16.61 deg, I = 39
30.75 deg, I = 100
32.76 deg, I = 45
39.11 deg, I = 76
39.83 deg, I = 50
42.30 deg, I = 79
59.50 deg, I = 29
61.37 deg, I = 35



Entry 7:
Diffraction record for CaCdGaPt. The powder diffraction line list is simulated, not measured: it uses a structure optimized by DFT (GGA-PBE) and a wavelength of 1.5418 Å.
Neutral-atom scattering factors, no anomalous dispersion.

abc: 4.251 4.251 10.188
angles: 90.00 90.00 90.00
Fractional positions:
Ca  0.250  0.250  0.241
Ca  0.750  0.750  0.759
Cd  0.250  0.750  0.500
Cd  0.750  0.250  0.500
Ga  0.250  0.750  0.000
Ga  0.750  0.250  0.000
Pt  0.250  0.250  0.860
Pt  0.750  0.750  0.140

Main lines, by angle (10 to 90 degrees two-theta):
22.67 deg, I = 44
26.24 deg, I = 34
27.33 deg, I = 86
31.02 deg, I = 51
34.65 deg, I = 100
42.54 deg, I = 70
46.75 deg, I = 64
51.30 deg, I = 31



Entry 8:
Diffraction record for CaCd4Ge2. The powder diffraction line list is simulated, not measured: it uses a structure optimized by DFT (GGA-PBE) and a wavelength of 1.5418 Å.
Neutral-atom scattering factors, no anomalous dispersion.

abc: 8.606 8.606 4.381
angles: 90.00 90.00 150.20
Fractional positions:
Ca  0.000  0.000  0.000
Cd  0.180  0.820  0.500
Cd  0.314  0.686  0.000
Cd  0.686  0.314  0.000
Cd  0.820  0.180  0.500
Ge  0.424  0.576  0.500
Ge  0.576  0.424  0.500

Main lines, by angle (10 to 90 degrees two-theta):
10.64 deg, I = 41
33.00 deg, I = 100
39.65 deg, I = 50
40.78 deg, I = 23
41.21 deg, I = 23
43.53 deg, I = 12
59.37 deg, I = 15
61.19 deg, I = 12



Entry 9:
Diffraction record for Rb2CaCdH6. The powder diffraction line list is simulated, not measured: it uses a structure optimized by DFT (GGA-PBE) and a wavelength of 1.5418 Å.
Neutral-atom scattering factors, no anomalous dispersion.

abc: 4.381 4.381 8.609
angles: 90.00 90.00 90.00
Fractional positions:
Rb  0.000  0.000  0.233
Rb  0.000  0.000  0.767
Ca  0.500  0.500  0.500
Cd  0.500  0.500  0.000
H  0.000  0.500  0.000
H  0.000  0.500  0.500
H  0.500  0.000  0.000
H  0.500  0.000  0.500
H  0.500  0.500  0.230
H  0.500  0.500  0.770

Main lines, by angle (10 to 90 degrees two-theta):
10.28 deg, I = 20
28.82 deg, I = 52
29.08 deg, I = 100
41.21 deg, I = 21
51.23 deg, I = 39
51.72 deg, I = 18
60.28 deg, I = 11
82.48 deg, I = 10



Entry 10:
Diffraction record for Ca2CdH6Rh. The powder diffraction line list is simulated, not measured: it uses a structure optimized by DFT (GGA-PBE) and a wavelength of 1.5418 Å.
Neutral-atom scattering factors, no anomalous dispersion.

abc: 4.710 4.710 7.237
angles: 90.00 90.00 120.00
Fractional positions:
Ca  0.333  0.667  0.194
Ca  0.667  0.333  0.806
Cd  0.000  0.000  0.500
H  0.169  0.338  0.869
H  0.169  0.831  0.869
H  0.338  0.169  0.131
H  0.662  0.831  0.869
H  0.831  0.169  0.131
H  0.831  0.662  0.131
Rh  0.000  0.000  0.000

Main lines, by angle (10 to 90 degrees two-theta):
21.79 deg, I = 71
25.06 deg, I = 16
33.09 deg, I = 100
38.21 deg, I = 46
45.98 deg, I = 15
51.43 deg, I = 28
55.56 deg, I = 17
65.85 deg, I = 25



Entry 11:
Diffraction record for CaHfCd. The powder diffraction line list is simulated, not measured: it uses a structure optimized by DFT (GGA-PBE) and a wavelength of 1.5418 Å.
Neutral-atom scattering factors, no anomalous dispersion.

abc: 6.136 6.136 6.136
angles: 115.67 88.84 125.96
Fractional positions:
Ca  0.122  0.250  0.372
Ca  0.878  0.750  0.628
Hf  0.501  0.000  0.002
Hf  0.998  0.500  0.998
Cd  0.498  0.498  0.000
Cd  0.498  0.998  0.500

Main lines, by angle (10 to 90 degrees two-theta):
16.93 deg, I = 100
33.40 deg, I = 39
33.60 deg, I = 39
34.24 deg, I = 72
36.51 deg, I = 61
38.27 deg, I = 54
42.64 deg, I = 29
60.79 deg, I = 35



Entry 12:
Diffraction record for Ca2CdHg6. The powder diffraction line list is simulated, not measured: it uses a structure optimized by DFT (GGA-PBE) and a wavelength of 1.5418 Å.
Neutral-atom scattering factors, no anomalous dispersion.

abc: 7.915 7.915 4.443
angles: 90.00 90.00 122.31
Fractional positions:
Ca  0.206  0.794  0.000
Ca  0.794  0.206  0.000
Cd  0.000  0.000  0.500
Hg  0.159  0.451  0.500
Hg  0.291  0.291  0.000
Hg  0.451  0.159  0.500
Hg  0.549  0.841  0.500
Hg  0.709  0.709  0.000
Hg  0.841  0.549  0.500

Main lines, by angle (10 to 90 degrees two-theta):
23.29 deg, I = 42
30.26 deg, I = 44
32.77 deg, I = 65
33.54 deg, I = 57
35.86 deg, I = 35
40.60 deg, I = 100
45.51 deg, I = 29
67.99 deg, I = 26